1.
Dy2Ho6ErSc: calculated PXRD pattern (CuKα), based on a cell relaxed with GGA-PBE.

Principal peaks in the range 15 to 90 degrees two-theta, in order of falling intensity:
2theta  I_rel
32.1  100
31.0  53
29.2  40
34.5  38
31.3  37
32.2  33
33.0  20
28.5  17
39.1  14
37.9  14

Cell and atoms:
Cell lengths 8.6238, 8.6238, 9.4007 Å; angles 94.06, 94.06, 117.42 degrees
Element x y z (fractional)
Dy 0.1975 0.3004 0.4538
Dy 0.3004 0.1975 0.9538
Dy 0.6996 0.8025 0.0462
Dy 0.8025 0.6996 0.5462
Ho 0.0045 0.7924 0.8829
Ho 0.0671 0.5088 0.6894
Ho 0.2076 0.9955 0.6171
Ho 0.2518 0.6263 0.0558
Ho 0.3737 0.7482 0.4442
Ho 0.4912 0.9329 0.8106
Ho 0.5088 0.0671 0.1894
Ho 0.6263 0.2518 0.5558
Ho 0.7482 0.3737 0.9442
Ho 0.7924 0.0045 0.3829
Ho 0.9329 0.4912 0.3106
Ho 0.9955 0.2076 0.1171
Er 0.4786 0.5214 0.7500
Er 0.5214 0.4786 0.2500
Sc 0.0879 0.9121 0.2500
Sc 0.9121 0.0879 0.7500

---

2.
TlHg2F7: calculated PXRD pattern (CuKα), based on a cell relaxed with GGA-PBE.

Principal peaks in the range 15 to 90 degrees two-theta, in order of falling intensity:
2theta  I_rel
28.1  100
31.5  98
29.2  91
26.3  83
22.5  62
49.8  36
53.5  32
47.6  32
52.2  32
44.2  30

Cell and atoms:
Cell lengths 6.8673, 6.8673, 8.2359 Å; angles 111.90, 111.90, 59.03 degrees
Element x y z (fractional)
Tl 0.0258 0.9742 0.7500
Tl 0.9742 0.0258 0.2500
Hg 0.2837 0.3065 0.6365
Hg 0.3065 0.2837 0.1365
Hg 0.6935 0.7163 0.8635
Hg 0.7163 0.6935 0.3635
F 0.0341 0.7845 0.4605
F 0.0666 0.3423 0.3153
F 0.0995 0.6508 0.0973
F 0.2155 0.9659 0.0395
F 0.3423 0.0666 0.8153
F 0.3492 0.9005 0.4027
F 0.3793 0.6207 0.7500
F 0.6207 0.3793 0.2500
F 0.6508 0.0995 0.5973
F 0.6577 0.9334 0.1847
F 0.7845 0.0341 0.9605
F 0.9005 0.3492 0.9027
F 0.9334 0.6577 0.6847
F 0.9659 0.2155 0.5395

---

3.
CsCa2TiCl8: calculated PXRD pattern (CuKα), based on a cell relaxed with GGA-PBE.

Principal peaks in the range 15 to 90 degrees two-theta, in order of falling intensity:
2theta  I_rel
19.4  100
19.9  70
24.6  68
28.4  68
37.9  63
37.5  51
30.7  33
29.4  30
45.8  29
37.3  28

Cell and atoms:
Cell lengths 6.3209, 6.4746, 8.8364 Å; angles 89.87, 89.79, 88.59 degrees
Element x y z (fractional)
Cs 0.0000 0.0000 0.0000
Ca 0.4995 0.4999 0.2542
Ca 0.5005 0.5001 0.7458
Ti 0.0000 0.0000 0.5000
Cl 0.2244 0.8324 0.6871
Cl 0.2266 0.8346 0.3122
Cl 0.2524 0.3054 0.5004
Cl 0.2670 0.4161 0.0006
Cl 0.7330 0.5839 0.9994
Cl 0.7476 0.6946 0.4996
Cl 0.7734 0.1654 0.6878
Cl 0.7756 0.1676 0.3129

---

4.
Pr2CdCuO5: calculated PXRD pattern (CuKα), based on a cell relaxed with GGA-PBE.

Principal peaks in the range 15 to 90 degrees two-theta, in order of falling intensity:
2theta  I_rel
30.7  100
33.4  65
43.7  45
31.6  38
55.7  27
29.4  25
37.4  24
42.0  20
49.7  20
57.4  18

Cell and atoms:
Cell lengths 6.8028, 6.8028, 5.6652 Å; angles 90.00, 90.00, 90.00 degrees
Element x y z (fractional)
Pr 0.1729 0.3271 0.0000
Pr 0.3271 0.8271 0.0000
Pr 0.6729 0.1729 0.0000
Pr 0.8271 0.6729 0.0000
Cd 0.0000 0.0000 0.5000
Cd 0.5000 0.5000 0.5000
Cu 0.0000 0.5000 0.5000
Cu 0.5000 0.0000 0.5000
O 0.0000 0.0000 0.0000
O 0.1381 0.6381 0.2599
O 0.1381 0.6381 0.7401
O 0.3619 0.1381 0.2599
O 0.3619 0.1381 0.7401
O 0.5000 0.5000 0.0000
O 0.6381 0.8619 0.2599
O 0.6381 0.8619 0.7401
O 0.8619 0.3619 0.2599
O 0.8619 0.3619 0.7401

---

5.
Tb2PmHo3: calculated PXRD pattern (CuKα), based on a cell relaxed with GGA-PBE.

Principal peaks in the range 15 to 90 degrees two-theta, in order of falling intensity:
2theta  I_rel
32.9  100
29.9  40
31.1  34
61.1  30
51.1  25
37.3  22
56.4  22
62.1  16
84.6  14
86.9  11

Cell and atoms:
Cell lengths 6.1887, 6.1887, 11.5092 Å; angles 90.00, 90.00, 59.98 degrees
Element x y z (fractional)
Tb 0.0006 0.6665 0.5000
Tb 0.3335 0.9994 0.5000
Tb 0.6665 0.0006 0.0000
Tb 0.9994 0.3335 0.0000
Pm 0.3335 0.6665 0.0002
Pm 0.6665 0.3335 0.5002
Ho 0.0013 0.9987 0.7501
Ho 0.3313 0.3341 0.2501
Ho 0.3341 0.3313 0.7501
Ho 0.6659 0.6687 0.2501
Ho 0.6687 0.6659 0.7501
Ho 0.9987 0.0013 0.2501

---

6.
Cr7C6: calculated PXRD pattern (CuKα), based on a cell relaxed with GGA-PBE.

Principal peaks in the range 15 to 90 degrees two-theta, in order of falling intensity:
2theta  I_rel
21.9  100
55.1  63
27.3  60
43.9  55
49.7  51
47.0  45
44.7  45
80.1  23
58.2  18
42.8  17

Cell and atoms:
Cell lengths 7.1029, 7.1029, 7.1029 Å; angles 39.41, 39.41, 39.41 degrees
Element x y z (fractional)
Cr 0.0000 0.0000 0.0000
Cr 0.0794 0.0794 0.5646
Cr 0.0794 0.5646 0.0794
Cr 0.4354 0.9206 0.9206
Cr 0.5646 0.0794 0.0794
Cr 0.9206 0.4354 0.9206
Cr 0.9206 0.9206 0.4354
C 0.1654 0.1654 0.1654
C 0.3236 0.3236 0.3236
C 0.3977 0.3977 0.3977
C 0.6023 0.6023 0.6023
C 0.6764 0.6764 0.6764
C 0.8346 0.8346 0.8346

---

Please write out number 4 again, unchanged.
Pr2CdCuO5: calculated PXRD pattern (CuKα), based on a cell relaxed with GGA-PBE.

Principal peaks in the range 15 to 90 degrees two-theta, in order of falling intensity:
2theta  I_rel
30.7  100
33.4  65
43.7  45
31.6  38
55.7  27
29.4  25
37.4  24
42.0  20
49.7  20
57.4  18

Cell and atoms:
Cell lengths 6.8028, 6.8028, 5.6652 Å; angles 90.00, 90.00, 90.00 degrees
Element x y z (fractional)
Pr 0.1729 0.3271 0.0000
Pr 0.3271 0.8271 0.0000
Pr 0.6729 0.1729 0.0000
Pr 0.8271 0.6729 0.0000
Cd 0.0000 0.0000 0.5000
Cd 0.5000 0.5000 0.5000
Cu 0.0000 0.5000 0.5000
Cu 0.5000 0.0000 0.5000
O 0.0000 0.0000 0.0000
O 0.1381 0.6381 0.2599
O 0.1381 0.6381 0.7401
O 0.3619 0.1381 0.2599
O 0.3619 0.1381 0.7401
O 0.5000 0.5000 0.0000
O 0.6381 0.8619 0.2599
O 0.6381 0.8619 0.7401
O 0.8619 0.3619 0.2599
O 0.8619 0.3619 0.7401